This entry pairs a crystal structure of TlFeBr4 with its calculated XRD peak list. Radiation: Cu Kα (λ = 1.5418 Å). Structure: a structure optimized by DFT (PBE).
Neutral-atom scattering factors, no anomalous dispersion.

Structural model:
a b c (Å): 7.818 10.382 10.356
angles (deg): 90.00 90.00 90.00
Sites, in units of the cell vectors:
Tl (0.170, 0.250, 0.250)
Tl (0.330, 0.750, 0.250)
Tl (0.670, 0.250, 0.750)
Tl (0.830, 0.750, 0.750)
Fe (0.250, 0.000, 0.683)
Fe (0.250, 0.500, 0.817)
Fe (0.750, 0.000, 0.317)
Fe (0.750, 0.500, 0.183)
Br (0.012, 0.045, 0.816)
Br (0.012, 0.455, 0.684)
Br (0.170, 0.677, 0.945)
Br (0.170, 0.823, 0.555)
Br (0.330, 0.177, 0.555)
Br (0.330, 0.323, 0.945)
Br (0.488, 0.545, 0.684)
Br (0.488, 0.955, 0.816)
Br (0.512, 0.045, 0.184)
Br (0.512, 0.455, 0.316)
Br (0.670, 0.677, 0.055)
Br (0.670, 0.823, 0.445)
Br (0.830, 0.177, 0.445)
Br (0.830, 0.323, 0.055)
Br (0.988, 0.545, 0.316)
Br (0.988, 0.955, 0.184)

Main lines, most intense first (2θ = 10–90°):
- 22.28°, d = 3.990 Å, intensity 100, (1 2 1)
- 29.90°, d = 2.988 Å, intensity 83, (2 1 2)
- 33.21°, d = 2.698 Å, intensity 56, (1 2 3)
- 17.12°, d = 5.180 Å, intensity 55, (0 0 2)
- 38.84°, d = 2.318 Å, intensity 54, (0 4 2)
- 36.59°, d = 2.456 Å, intensity 47, (3 1 1)